(1)
Calculated powder diffraction line list of Ni7SnSb2Pt2 for Cu Ka, from the PBE geometry in Alexandria.

abc: 5.094 5.092 13.976
angles: 90.00 99.75 90.00
Space group C2/m (No. 12)
Asymmetric unit:
1 Ni 0.000 0.000 0.000 x2
2 Ni 0.185 0.250 0.862 x8
3 Ni 0.232 0.000 0.466 x4
4 Sn 0.000 0.500 0.000 x2
5 Sb 0.166 0.500 0.357 x4
6 Pt 0.127 0.000 0.273 x4

The 10 most intense peaks (2θ = 10–90°), by intensity:
(1 1 -6), 2θ = 44.24°, I 100
(2 2 -1), 2θ = 50.70°, I 93
(1 1 5), 2θ = 43.87°, I 85
(0 2 0), 2θ = 35.24°, I 85
(0 2 3), 2θ = 40.51°, I 60
(1 1 2), 2θ = 29.51°, I 34
(2 0 -4), 2θ = 40.74°, I 32
(1 1 -3), 2θ = 29.76°, I 30
(2 0 2), 2θ = 40.27°, I 27
(0 0 2), 2θ = 12.85°, I 24

(2)
Calculated powder diffraction line list of ZnNi7Sb2Pt2 for Cu Ka, from the PBE geometry in Alexandria.

abc: 4.943 4.943 14.202
angles: 90.00 99.94 90.00
Space group C2/m (No. 12)
Asymmetric unit:
1 Zn 0.000 0.000 0.000 x2
2 Ni 0.000 0.500 0.000 x2
3 Ni 0.185 0.250 0.869 x8
4 Ni 0.230 0.500 0.461 x4
5 Sb 0.180 0.000 0.363 x4
6 Pt 0.133 0.500 0.268 x4

The 10 most intense peaks (2θ = 10–90°), by intensity:
(1 1 -6), 2θ = 44.03°, I 100
(2 2 -1), 2θ = 52.34°, I 84
(2 0 -4), 2θ = 41.34°, I 71
(0 2 0), 2θ = 36.35°, I 60
(2 0 3), 2θ = 44.91°, I 56
(1 1 2), 2θ = 30.15°, I 49
(0 4 0), 2θ = 77.18°, I 40
(2 0 -2), 2θ = 36.93°, I 39
(1 3 5), 2θ = 70.73°, I 36
(1 1 4), 2θ = 38.76°, I 36

(3)
Calculated powder diffraction line list of Sc2Ni3Pt for Cu Ka, from the PBE geometry in Alexandria.

abc: 9.651 10.384 15.208
angles: 90.00 90.00 90.00
Space group Fddd (No. 70, origin choice 2)
Asymmetric unit:
1 Sc 0.023 0.262 0.468 x32
2 Ni 0.000 0.000 0.000 x16
3 Ni 0.125 0.125 0.351 x16
4 Ni 0.125 0.345 0.625 x16
5 Pt 0.019 0.375 0.875 x16

The 10 most intense peaks (2θ = 10–90°), by intensity:
(0 4 4), 2θ = 42.15°, I 100
(4 2 2), 2θ = 43.02°, I 96
(1 1 3), 2θ = 21.57°, I 91
(3 3 1), 2θ = 38.67°, I 61
(3 1 5), 2θ = 41.79°, I 59
(0 0 4), 2θ = 23.40°, I 44
(1 1 5), 2θ = 32.04°, I 40
(1 1 1), 2θ = 13.81°, I 37
(4 2 6), 2θ = 55.48°, I 35
(3 1 3), 2θ = 34.12°, I 30